The following is a simulated X-ray powder pattern of LiInSn2. It was derived from a structure optimized by DFT (PBE), using Cu Kα.
Peak positions follow from Bragg's law for the DFT cell and can differ from measured ones.

The 10 most intense peaks (5° ≤ 2θ ≤ 70°), low angle first:
Position (°2θ)  I (rel.)
22.58  75.9
24.55  22.8
31.28  100.0
35.58  94.2
38.39  96.7
50.32  26.8
53.33  29.8
65.02  25.1
65.63  35.8
67.60  29.7

Structure:
a b c (Å): 4.690 4.690 16.103
angles (deg): 90.00 90.00 120.00
Atoms (fractional coordinates):
1 Li 0.000 0.000 0.000
2 Li 0.333 0.667 0.667
3 Li 0.667 0.333 0.333
4 In 0.000 0.000 0.816
5 In 0.333 0.667 0.482
6 In 0.667 0.333 0.149
7 Sn 0.000 0.000 0.379
8 Sn 0.000 0.000 0.590
9 Sn 0.333 0.667 0.046
10 Sn 0.333 0.667 0.256
11 Sn 0.667 0.333 0.713
12 Sn 0.667 0.333 0.923

The following is a simulated X-ray powder pattern of Rb2DyInS4. It was derived from a structure optimized by DFT (PBE), using Cu Kα.
Peak positions follow from Bragg's law for the DFT cell and can differ from measured ones.

The 10 most intense peaks (5° ≤ 2θ ≤ 70°), low angle first:
Position (°2θ)  I (rel.)
12.83  28.1
25.79  93.9
29.63  52.3
29.99  100.0
42.66  71.1
50.30  18.1
50.68  18.6
50.84  17.8
52.92  17.5
53.13  17.8

Structure:
a b c (Å): 8.477 8.477 8.477
angles (deg): 120.56 120.21 89.33
Atoms (fractional coordinates):
1 Rb 0.000 0.000 0.000
2 Rb 0.500 0.000 0.000
3 Rb 0.500 0.000 0.500
4 Rb 0.500 0.500 0.500
5 Dy 0.000 0.500 0.500
6 Dy 0.500 0.500 0.000
7 In 0.000 0.000 0.500
8 In 0.000 0.500 0.000
9 S 0.192 0.734 0.458
10 S 0.225 0.266 0.958
11 S 0.232 0.268 0.535
12 S 0.232 0.697 0.965
13 S 0.768 0.303 0.035
14 S 0.768 0.732 0.465
15 S 0.775 0.734 0.042
16 S 0.808 0.266 0.542

The following is a simulated X-ray powder pattern of ZrTcOs2. It was derived from a structure optimized by DFT (PBE), using Cu Kα.
Peak positions follow from Bragg's law for the DFT cell and can differ from measured ones.

The 10 most intense peaks (5° ≤ 2θ ≤ 70°), low angle first:
Position (°2θ)  I (rel.)
15.12  9.0
22.92  18.8
31.36  8.9
38.51  96.2
39.20  100.0
44.27  32.1
44.39  32.5
46.83  30.1
65.45  11.0
66.46  38.6

Structure:
a b c (Å): 2.852 3.880 5.859
angles (deg): 90.00 90.15 90.00
Atoms (fractional coordinates):
1 Zr 0.000 0.000 0.000
2 Tc 0.000 0.000 0.500
3 Os 0.497 0.500 0.279
4 Os 0.503 0.500 0.721

The following is a simulated X-ray powder pattern of LaY2Ag3. It was derived from a structure optimized by DFT (PBE), using Cu Kα.
Peak positions follow from Bragg's law for the DFT cell and can differ from measured ones.

The 10 most intense peaks (5° ≤ 2θ ≤ 70°), low angle first:
Position (°2θ)  I (rel.)
25.52  2.1
29.01  3.8
34.11  100.0
34.57  50.5
47.58  1.5
48.31  7.9
49.69  17.5
53.78  1.8
60.75  15.5
61.65  34.1

Structure:
a b c (Å): 3.669 3.669 11.304
angles (deg): 90.00 90.00 90.00
Atoms (fractional coordinates):
1 La 0.000 0.000 0.000
2 Y 0.000 0.000 0.339
3 Y 0.000 0.000 0.661
4 Ag 0.500 0.500 0.186
5 Ag 0.500 0.500 0.500
6 Ag 0.500 0.500 0.814

The following is a simulated X-ray powder pattern of P3H. It was derived from a structure optimized by DFT (PBE), using Cu Kα.
Peak positions follow from Bragg's law for the DFT cell and can differ from measured ones.

The 6 most intense peaks (5° ≤ 2θ ≤ 70°), low angle first:
Position (°2θ)  I (rel.)
26.73  29.6
30.96  14.6
44.36  100.0
52.55  11.9
55.08  3.4
64.53  15.5

Structure:
a b c (Å): 5.776 5.776 5.776
angles (deg): 90.00 90.00 90.00
Atoms (fractional coordinates):
1 P 0.000 0.000 0.000
2 P 0.000 0.500 0.500
3 P 0.250 0.250 0.250
4 P 0.250 0.250 0.750
5 P 0.250 0.750 0.250
6 P 0.250 0.750 0.750
7 P 0.500 0.000 0.500
8 P 0.500 0.500 0.000
9 P 0.750 0.250 0.250
10 P 0.750 0.250 0.750
11 P 0.750 0.750 0.250
12 P 0.750 0.750 0.750
13 H 0.000 0.000 0.500
14 H 0.000 0.500 0.000
15 H 0.500 0.000 0.000
16 H 0.500 0.500 0.500

The following is a simulated X-ray powder pattern of CdIr. It was derived from a structure optimized by DFT (PBE), using Cu Kα.
Peak positions follow from Bragg's law for the DFT cell and can differ from measured ones.

The 10 most intense peaks (5° ≤ 2θ ≤ 70°), low angle first:
Position (°2θ)  I (rel.)
20.55  26.2
35.99  29.7
36.13  30.6
37.21  55.2
39.56  32.4
40.26  100.0
41.38  71.6
41.81  32.9
42.19  17.9
64.79  31.2

Structure:
a b c (Å): 10.609 2.867 5.001
angles (deg): 90.00 114.34 90.00
Atoms (fractional coordinates):
1 Cd 0.108 0.000 0.299
2 Cd 0.392 0.500 0.701
3 Cd 0.608 0.500 0.299
4 Cd 0.892 0.000 0.701
5 Ir 0.148 0.500 0.817
6 Ir 0.352 0.000 0.183
7 Ir 0.648 0.000 0.817
8 Ir 0.852 0.500 0.183

The following is a simulated X-ray powder pattern of Sm2SiSe4. It was derived from a structure optimized by DFT (PBE), using Cu Kα.
Peak positions follow from Bragg's law for the DFT cell and can differ from measured ones.

The 10 most intense peaks (5° ≤ 2θ ≤ 70°), low angle first:
Position (°2θ)  I (rel.)
15.10  18.7
19.14  30.5
24.47  100.0
31.25  24.7
36.24  13.9
38.83  29.0
41.30  47.7
46.43  37.5
50.67  12.6
65.61  17.3

Structure:
a b c (Å): 6.559 6.559 11.732
angles (deg): 90.00 90.00 90.00
Atoms (fractional coordinates):
1 Sm 0.000 0.500 0.250
2 Sm 0.000 0.500 0.750
3 Sm 0.500 0.000 0.250
4 Sm 0.500 0.000 0.750
5 Si 0.000 0.000 0.000
6 Si 0.500 0.500 0.500
7 Se 0.239 0.239 0.115
8 Se 0.239 0.761 0.885
9 Se 0.261 0.261 0.615
10 Se 0.261 0.739 0.385
11 Se 0.739 0.261 0.385
12 Se 0.739 0.739 0.615
13 Se 0.761 0.239 0.885
14 Se 0.761 0.761 0.115

The following is a simulated X-ray powder pattern of Ba3LiPd. It was derived from a structure optimized by DFT (PBE), using Cu Kα.
Peak positions follow from Bragg's law for the DFT cell and can differ from measured ones.

The 10 most intense peaks (5° ≤ 2θ ≤ 70°), low angle first:
Position (°2θ)  I (rel.)
15.08  70.8
20.72  46.2
25.14  55.3
25.33  43.8
27.87  60.9
28.48  100.0
28.73  48.5
30.42  51.2
32.41  52.8
42.14  46.8

Structure:
a b c (Å): 8.506 6.269 8.600
angles (deg): 90.00 93.22 90.00
Atoms (fractional coordinates):
1 Ba 0.000 0.000 0.000
2 Ba 0.117 0.000 0.498
3 Ba 0.296 0.500 0.215
4 Ba 0.489 0.000 0.892
5 Ba 0.644 0.000 0.385
6 Ba 0.782 0.500 0.702
7 Li 0.236 0.500 0.683
8 Li 0.810 0.500 0.193
9 Pd 0.006 0.500 0.441
10 Pd 0.320 0.000 0.198